Starting from a cell relaxed with GGA+U, the X-ray powder pattern of V5ZnO8 was calculated for Cu Kα, 1.54184 Å.
Peak positions follow from Bragg's law for the DFT cell and can differ from measured ones.

Cell: 6.067 6.067 6.067 Å, 60.00 60.00 60.00°
Positions (direct):
V1 0.000 0.000 0.000
V2 0.128 0.624 0.624
V3 0.624 0.128 0.624
V4 0.624 0.624 0.128
V5 0.624 0.624 0.624
Zn1 0.250 0.250 0.250
O1 0.384 0.384 0.384
O2 0.384 0.384 0.847
O3 0.384 0.847 0.384
O4 0.396 0.868 0.868
O5 0.847 0.384 0.384
O6 0.868 0.396 0.868
O7 0.868 0.868 0.396
O8 0.868 0.868 0.868

Main lines, in order of rising 2θ (2θ from 10° to 80°):
Position (°2θ), d (Å), I_rel
29.4, 3.034, 35
34.7, 2.587, 100
42.1, 2.145, 17
52.2, 1.751, 12
55.7, 1.651, 35
61.1, 1.517, 46